For AcCr2CoO8, a crystal structure in Alexandria, relaxed with PBE+U gives the computed powder XRD pattern in this record (Cu Kα (weighted mean of Kα1 and Kα2)).

Atomic structure:
a = 5.4946 Å, b = 5.4946 Å, c = 6.9441 Å
α = 90.00°, β = 90.00°, γ = 120.00°
Space group P-3 (No. 147)
Symmetry-distinct sites (fractional):
Ac 0.0000 0.0000 0.0000 [1 per cell]
Cr 0.3333 0.6667 0.7641 [2 per cell]
Co 0.0000 0.0000 0.5000 [1 per cell]
O 0.1602 0.3247 0.6955 [6 per cell]
O 0.3333 0.6667 0.0057 [2 per cell]

Largest 10 diffraction maxima, most intense first, 5° ≤ 2θ ≤ 70°:
h k l, two_theta, intensity
1 0 0, 18.65, 100
0 1 2, 31.91, 94
1 1 0, 32.59, 74
1 0 1, 22.65, 74
0 2 2, 46.26, 47
0 0 1, 12.75, 39
3 -2 2, 57.73, 37
1 1 1, 35.13, 36
2 -1 2, 41.93, 27
1 1 4, 63.38, 22